# GdTmRh2
Calculated X-ray powder pattern, a wavelength of 1.5418 Å. Input: DFT lattice parameters and positions (GGA-PBE).

The 8 most intense peaks (10° ≤ 2θ ≤ 90°), in order of rising 2θ:
- 2θ 26.01, rel. 5
- 2θ 37.12, rel. 100
- 2θ 45.89, rel. 2
- 2θ 53.50, rel. 17
- 2θ 60.43, rel. 2
- 2θ 66.91, rel. 35
- 2θ 79.07, rel. 11
- 2θ 84.94, rel. 1

Crystal structure
Cell: 4.8442 4.8442 4.8442 Å, 60.00 60.00 60.00°
Element x y z (fractional)
Gd (0.0000, 0.0000, 0.0000)
Tm (0.5000, 0.5000, 0.5000)
Rh (0.2500, 0.2500, 0.2500)
Rh (0.7500, 0.7500, 0.7500)

=====

# CdI3N2
Calculated X-ray powder pattern, a wavelength of 1.5418 Å. Input: DFT lattice parameters and positions (GGA-PBE).

The 10 most intense peaks (10° ≤ 2θ ≤ 90°), in order of rising 2θ:
- 2θ 12.97, rel. 63
- 2θ 13.49, rel. 30
- 2θ 21.12, rel. 37
- 2θ 22.88, rel. 39
- 2θ 23.77, rel. 31
- 2θ 24.87, rel. 50
- 2θ 25.17, rel. 100
- 2θ 29.21, rel. 40
- 2θ 32.74, rel. 38
- 2θ 33.83, rel. 34

Crystal structure
Cell: 8.4125 7.4855 13.6480 Å, 90.00 90.00 90.00°
Element x y z (fractional)
Cd (0.0000, 0.0399, 0.0000)
Cd (0.0000, 0.9601, 0.5000)
Cd (0.5000, 0.2171, 0.9562)
Cd (0.5000, 0.7829, 0.4562)
I (0.0000, 0.3043, 0.1412)
I (0.0000, 0.3688, 0.4584)
I (0.0000, 0.6312, 0.9584)
I (0.0000, 0.6957, 0.6412)
I (0.2273, 0.2277, 0.8466)
I (0.2273, 0.7723, 0.3466)
I (0.5000, 0.1018, 0.1454)
I (0.5000, 0.2823, 0.4024)
I (0.5000, 0.7177, 0.9024)
I (0.5000, 0.8982, 0.6454)
I (0.7727, 0.2277, 0.8466)
I (0.7727, 0.7723, 0.3466)
N (0.1746, 0.2123, 0.4779)
N (0.1746, 0.7877, 0.9779)
N (0.3271, 0.3131, 0.2991)
N (0.3271, 0.6869, 0.7991)
N (0.6729, 0.3131, 0.2991)
N (0.6729, 0.6869, 0.7991)
N (0.8254, 0.2123, 0.4779)
N (0.8254, 0.7877, 0.9779)

=====

# BaAgSb
Calculated X-ray powder pattern, a wavelength of 1.5418 Å. Input: DFT lattice parameters and positions (GGA-PBE).

The 10 most intense peaks (10° ≤ 2θ ≤ 90°), in order of rising 2θ:
- 2θ 28.32, rel. 100
- 2θ 36.59, rel. 54
- 2θ 38.36, rel. 16
- 2θ 46.91, rel. 25
- 2θ 54.05, rel. 34
- 2θ 60.92, rel. 22
- 2θ 63.35, rel. 10
- 2θ 65.88, rel. 9
- 2θ 78.89, rel. 11
- 2θ 84.73, rel. 9

Crystal structure
Cell: 4.9112 4.9112 9.3862 Å, 90.00 90.00 120.00°
Element x y z (fractional)
Ba (0.0000, 0.0000, 0.0000)
Ba (0.0000, 0.0000, 0.5000)
Ag (0.3333, 0.6667, 0.2500)
Ag (0.6667, 0.3333, 0.7500)
Sb (0.3333, 0.6667, 0.7500)
Sb (0.6667, 0.3333, 0.2500)